Record 1
Diffraction record for LaTb2Y2Ho2. The PXRD pattern is theoretical, not measured: it uses a PBE-relaxed structure and λ = 1.5418 Å (Cu Kα).
Intensities are scaled so that the largest is 100.

abc: 6.1223 6.1223 11.8289
angles: 107.83 107.83 33.48
Atoms (fractional coordinates):
La  0.0000  0.0000  0.0000
Tb  0.3288  0.3288  0.4178
Tb  0.6712  0.6712  0.5822
Y  0.4480  0.4480  0.7248
Y  0.5520  0.5520  0.2752
Ho  0.2237  0.2237  0.8578
Ho  0.7763  0.7763  0.1422

The 12 most intense peaks (5° ≤ 2θ ≤ 70°), most intense first:
d (Å), 2θ/deg, intensity
2.767, 32.36, 100
2.903, 30.80, 94
2.545, 35.26, 86
2.923, 30.58, 79
2.723, 32.89, 68
3.137, 28.45, 63
1.506, 61.57, 51
1.777, 51.41, 42
1.480, 62.77, 26
1.526, 60.68, 24
2.365, 38.04, 24
3.014, 29.64, 23

=====

Record 2
Diffraction record for Na3Se2O8. The PXRD pattern is theoretical, not measured: it uses a PBE-relaxed structure and λ = 1.5418 Å (Cu Kα).
Intensities are scaled so that the largest is 100.

abc: 6.8690 6.8690 9.2494
angles: 90.00 90.00 118.43
Atoms (fractional coordinates):
Na  0.0000  0.0000  0.0000
Na  0.1200  0.3800  0.2500
Na  0.3800  0.1200  0.7500
Na  0.5000  0.5000  0.5000
Na  0.6200  0.8800  0.2500
Na  0.8800  0.6200  0.7500
Se  0.1206  0.8794  0.3767
Se  0.3794  0.6206  0.8767
Se  0.6206  0.3794  0.1233
Se  0.8794  0.1206  0.6233
O  0.0154  0.9846  0.2557
O  0.0837  0.3089  0.5195
O  0.1911  0.4163  0.9805
O  0.2471  0.7529  0.2972
O  0.2529  0.7471  0.7972
O  0.3089  0.0837  0.4805
O  0.4163  0.1911  0.0195
O  0.4846  0.5154  0.7557
O  0.5154  0.4846  0.2443
O  0.5837  0.8089  0.9805
O  0.6911  0.9163  0.5195
O  0.7471  0.2529  0.2028
O  0.7529  0.2471  0.7028
O  0.8089  0.5837  0.0195
O  0.9163  0.6911  0.4805
O  0.9846  0.0154  0.7443

The 12 most intense peaks (5° ≤ 2θ ≤ 70°), most intense first:
d (Å), 2θ/deg, intensity
3.672, 24.24, 100
2.871, 31.15, 77
5.058, 17.54, 74
3.219, 27.72, 48
1.616, 56.98, 47
2.733, 32.77, 42
4.975, 17.83, 37
2.757, 32.48, 30
3.516, 25.33, 28
2.951, 30.29, 26
2.175, 41.52, 23
1.844, 49.43, 23

=====

Record 3
Diffraction record for HoHf2Pd7. The PXRD pattern is theoretical, not measured: it uses a PBE-relaxed structure and λ = 1.5418 Å (Cu Kα).
Intensities are scaled so that the largest is 100.

abc: 9.3317 8.9471 4.8412
angles: 79.08 70.29 30.62
Atoms (fractional coordinates):
Ho  0.0000  0.0000  0.0000
Hf  0.3306  0.3306  0.6694
Hf  0.6694  0.6694  0.3306
Pd  0.0886  0.0886  0.4114
Pd  0.2500  0.2500  0.2500
Pd  0.4114  0.4114  0.0886
Pd  0.5000  0.5000  0.5000
Pd  0.5886  0.5886  0.9114
Pd  0.7500  0.7500  0.7500
Pd  0.9114  0.9114  0.5886

The 12 most intense peaks (5° ≤ 2θ ≤ 70°), most intense first:
d (Å), 2θ/deg, intensity
2.309, 39.01, 100
2.289, 39.37, 96
2.011, 45.07, 65
3.576, 24.90, 65
1.401, 66.79, 40
1.952, 46.54, 30
2.185, 41.32, 17
1.432, 65.14, 11
1.413, 66.15, 10
4.456, 19.93, 9
1.762, 51.88, 9
1.744, 52.46, 9

=====

Record 4
Diffraction record for Ac9Sm4Hg11. The PXRD pattern is theoretical, not measured: it uses a PBE-relaxed structure and λ = 1.5418 Å (Cu Kα).
Intensities are scaled so that the largest is 100.

abc: 14.6606 14.6606 3.8291
angles: 90.00 90.00 111.44
Atoms (fractional coordinates):
Ac  0.0000  0.0000  0.0000
Ac  0.1282  0.6412  0.0000
Ac  0.2918  0.4552  0.0000
Ac  0.3588  0.8718  0.0000
Ac  0.4552  0.2918  0.0000
Ac  0.5448  0.7082  0.0000
Ac  0.6412  0.1282  0.0000
Ac  0.7082  0.5448  0.0000
Ac  0.8718  0.3588  0.0000
Sm  0.0555  0.2468  0.0000
Sm  0.2468  0.0555  0.0000
Sm  0.7532  0.9445  0.0000
Sm  0.9445  0.7532  0.0000
Hg  0.0847  0.4343  0.5000
Hg  0.1345  0.8655  0.5000
Hg  0.2213  0.2213  0.5000
Hg  0.3339  0.6661  0.5000
Hg  0.4343  0.0847  0.5000
Hg  0.5000  0.5000  0.5000
Hg  0.5657  0.9153  0.5000
Hg  0.6661  0.3339  0.5000
Hg  0.7787  0.7787  0.5000
Hg  0.8655  0.1345  0.5000
Hg  0.9153  0.5657  0.5000

The 12 most intense peaks (5° ≤ 2θ ≤ 70°), most intense first:
d (Å), 2θ/deg, intensity
2.887, 30.98, 100
2.807, 31.88, 90
2.778, 32.22, 83
1.596, 57.79, 36
1.657, 55.45, 21
1.915, 47.49, 21
1.639, 56.11, 19
2.064, 43.86, 17
2.956, 30.24, 14
2.019, 44.89, 14
3.013, 29.65, 13
2.636, 34.02, 11

=====

Record 5
Diffraction record for La4CoGe3. The PXRD pattern is theoretical, not measured: it uses a PBE-relaxed structure and λ = 1.5418 Å (Cu Kα).
Intensities are scaled so that the largest is 100.

abc: 4.2198 4.5026 10.8511
angles: 90.00 90.00 90.00
Atoms (fractional coordinates):
La  0.0000  0.0000  0.0000
La  0.0000  0.5000  0.4615
La  0.5000  0.0000  0.6949
La  0.5000  0.5000  0.2010
Co  0.0000  0.0000  0.2718
Ge  0.0000  0.5000  0.7603
Ge  0.5000  0.0000  0.3951
Ge  0.5000  0.5000  0.9160

The 12 most intense peaks (5° ≤ 2θ ≤ 70°), most intense first:
d (Å), 2θ/deg, intensity
2.962, 30.17, 100
2.345, 38.39, 47
2.820, 31.73, 43
2.251, 40.05, 27
2.110, 42.86, 22
3.331, 26.76, 21
2.282, 39.49, 19
1.689, 54.30, 19
2.713, 33.02, 18
1.539, 60.10, 16
1.603, 57.51, 12
1.466, 63.47, 11

=====

Record 6
Diffraction record for Tl6Cl5F7. The PXRD pattern is theoretical, not measured: it uses a PBE-relaxed structure and λ = 1.5418 Å (Cu Kα).
Intensities are scaled so that the largest is 100.

abc: 11.7046 6.5581 6.5581
angles: 74.23 90.00 90.00
Atoms (fractional coordinates):
Tl  0.0000  0.0000  0.0000
Tl  0.1590  0.4049  0.4049
Tl  0.3256  0.8808  0.8808
Tl  0.5000  0.3843  0.3843
Tl  0.6744  0.8808  0.8808
Tl  0.8410  0.4049  0.4049
Cl  0.0000  0.5853  0.5853
Cl  0.3196  0.2232  0.2232
Cl  0.3372  0.5649  0.5649
Cl  0.6628  0.5649  0.5649
Cl  0.6804  0.2232  0.2232
F  0.0000  0.2764  0.2764
F  0.1552  0.1305  0.6752
F  0.1552  0.6752  0.1305
F  0.5000  0.1093  0.6511
F  0.5000  0.6511  0.1093
F  0.8448  0.1305  0.6752
F  0.8448  0.6752  0.1305

The 12 most intense peaks (5° ≤ 2θ ≤ 70°), most intense first:
d (Å), 2θ/deg, intensity
3.319, 26.87, 100
5.230, 16.95, 79
3.957, 22.47, 60
2.470, 36.38, 49
2.139, 42.25, 38
1.851, 49.22, 33
3.156, 28.28, 28
1.979, 45.85, 18
2.801, 31.95, 16
1.750, 52.29, 14
1.951, 46.56, 13
1.453, 64.09, 12

=====

Record 7
Diffraction record for CdH3SI3. The PXRD pattern is theoretical, not measured: it uses a PBE-relaxed structure and λ = 1.5418 Å (Cu Kα).
Intensities are scaled so that the largest is 100.

abc: 7.7283 8.9073 8.0071
angles: 90.00 92.19 90.00
Atoms (fractional coordinates):
Cd  0.0000  0.1538  0.0000
Cd  0.0000  0.8462  0.5000
H  0.6885  0.4994  0.5042
H  0.6885  0.5006  0.0042
H  0.7251  0.3242  0.6718
H  0.7251  0.6758  0.1718
H  0.9331  0.4455  0.5741
H  0.9331  0.5545  0.0741
S  0.7796  0.3645  0.5125
S  0.7796  0.6355  0.0125
I  0.1268  0.1097  0.6664
I  0.1268  0.8903  0.1664
I  0.1525  0.4050  0.1580
I  0.1525  0.5950  0.6580
I  0.6452  0.2189  0.9447
I  0.6452  0.7811  0.4447

The 12 most intense peaks (5° ≤ 2θ ≤ 70°), most intense first:
d (Å), 2θ/deg, intensity
7.723, 11.46, 100
5.952, 14.88, 89
3.860, 23.04, 82
3.609, 24.67, 77
3.449, 25.83, 72
3.891, 22.85, 47
2.289, 39.37, 40
3.500, 25.45, 35
2.716, 32.98, 34
2.129, 42.47, 33
2.974, 30.05, 29
2.140, 42.24, 25

=====

Record 8
Diffraction record for Pd2Pb3. The PXRD pattern is theoretical, not measured: it uses a PBE-relaxed structure and λ = 1.5418 Å (Cu Kα).
Intensities are scaled so that the largest is 100.

abc: 10.3104 10.3104 10.3104
angles: 160.89 160.89 27.15
Atoms (fractional coordinates):
Pd  0.0891  0.0891  0.0000
Pd  0.9109  0.9109  0.0000
Pb  0.3233  0.3233  0.0000
Pb  0.5000  0.5000  0.0000
Pb  0.6767  0.6767  0.0000

The 12 most intense peaks (5° ≤ 2θ ≤ 70°), most intense first:
d (Å), 2θ/deg, intensity
2.603, 34.46, 100
2.420, 37.15, 55
1.430, 65.25, 32
1.711, 53.55, 20
2.196, 41.10, 19
3.374, 26.42, 15
1.375, 68.22, 14
3.341, 26.68, 13
1.960, 46.33, 12
3.046, 29.32, 9
1.350, 69.66, 8
1.544, 59.92, 7